Structure and calculated XRD peak list of ZnCo2S5 (the GGA-PBE geometry in Alexandria; copper Kα).
Lines closer than 0.1° are merged.

Structure:
a b c (Å): 3.5507 13.3314 6.3191
angles (deg): 90.00 90.00 90.00
Fractional coordinates of all 16 atoms:
Zn 0.2500 0.2500 0.0951
Zn 0.7500 0.7500 0.9049
Co 0.2500 0.6033 0.4781
Co 0.2500 0.8967 0.4781
Co 0.7500 0.1033 0.5219
Co 0.7500 0.3967 0.5219
S 0.2500 0.0497 0.3486
S 0.2500 0.4503 0.3486
S 0.2500 0.6698 0.1712
S 0.2500 0.7500 0.6535
S 0.2500 0.8302 0.1712
S 0.7500 0.1698 0.8288
S 0.7500 0.2500 0.3465
S 0.7500 0.3302 0.8288
S 0.7500 0.5497 0.6514
S 0.7500 0.9503 0.6514

Main lines, in order of rising 2θ (10 to 80 degrees two-theta):
| two_theta | I_rel |
| --- | --- |
| 14.0 | 62 |
| 19.4 | 100 |
| 28.8 | 51 |
| 29.6 | 58 |
| 30.3 | 30 |
| 36.6 | 36 |
| 40.6 | 75 |
| 43.4 | 46 |
| 54.7 | 31 |
| 56.8 | 43 |

Structure and calculated XRD peak list of Co5Sb3 (the GGA-PBE geometry in Alexandria; copper Kα).
Lines closer than 0.1° are merged.

Structure:
a b c (Å): 7.0008 7.0008 6.9980
angles (deg): 102.08 102.08 125.53
Fractional coordinates of all 16 atoms:
Co 0.0000 0.0000 0.0000
Co 0.1331 0.3424 0.6408
Co 0.2025 0.8428 0.2100
Co 0.3424 0.1331 0.6408
Co 0.4935 0.7031 0.3603
Co 0.5007 0.5007 0.0006
Co 0.6336 0.9932 0.7913
Co 0.7031 0.4935 0.3603
Co 0.8428 0.2025 0.2100
Co 0.9932 0.6336 0.7913
Sb 0.1057 0.4273 0.0008
Sb 0.1595 0.6592 0.5008
Sb 0.4273 0.1057 0.0008
Sb 0.6052 0.6052 0.6786
Sb 0.6592 0.1595 0.5008
Sb 0.9273 0.9273 0.3221

Main lines, in order of rising 2θ (10 to 80 degrees two-theta):
| two_theta | I_rel |
| --- | --- |
| 26.6 | 96 |
| 32.2 | 19 |
| 34.6 | 37 |
| 39.5 | 30 |
| 40.4 | 37 |
| 43.0 | 100 |
| 44.7 | 78 |
| 46.1 | 48 |
| 48.5 | 50 |
| 58.3 | 20 |

Structure and calculated XRD peak list of Co3Sb5 (the GGA-PBE geometry in Alexandria; copper Kα).
Lines closer than 0.1° are merged.

Structure:
a b c (Å): 6.3485 6.4268 8.0373
angles (deg): 95.85 90.52 101.61
Fractional coordinates of all 16 atoms:
Co 0.0088 0.3104 0.0336
Co 0.1826 0.4713 0.5340
Co 0.4765 0.0802 0.7443
Co 0.5235 0.9198 0.2557
Co 0.8174 0.5287 0.4660
Co 0.9912 0.6896 0.9664
Sb 0.0838 0.8245 0.6708
Sb 0.1674 0.6330 0.2490
Sb 0.2682 0.0412 0.0375
Sb 0.3255 0.4356 0.8376
Sb 0.4493 0.2331 0.4543
Sb 0.5507 0.7669 0.5457
Sb 0.6745 0.5644 0.1624
Sb 0.7318 0.9588 0.9625
Sb 0.8326 0.3670 0.7510
Sb 0.9162 0.1755 0.3292

Main lines, in order of rising 2θ (10 to 80 degrees two-theta):
| two_theta | I_rel |
| --- | --- |
| 29.5 | 100 |
| 31.2 | 38 |
| 31.7 | 47 |
| 33.0 | 34 |
| 34.7 | 38 |
| 35.2 | 70 |
| 37.4 | 35 |
| 40.3 | 35 |
| 41.8 | 34 |
| 46.1 | 33 |

Structure and calculated XRD peak list of SmCoSb3 (the GGA-PBE geometry in Alexandria; copper Kα).
Lines closer than 0.1° are merged.

Structure:
a b c (Å): 12.6334 6.1550 12.1131
angles (deg): 90.00 90.00 90.00
Fractional coordinates of all 40 atoms:
Sm 0.1963 0.2200 0.2500
Sm 0.1963 0.2800 0.7500
Sm 0.1999 0.7500 0.0000
Sm 0.1999 0.7500 0.5000
Sm 0.8001 0.2500 0.0000
Sm 0.8001 0.2500 0.5000
Sm 0.8037 0.7200 0.2500
Sm 0.8037 0.7800 0.7500
Co 0.4005 0.0386 0.6357
Co 0.4005 0.0386 0.8643
Co 0.4005 0.4614 0.1357
Co 0.4005 0.4614 0.3643
Co 0.5995 0.5386 0.6357
Co 0.5995 0.5386 0.8643
Co 0.5995 0.9614 0.1357
Co 0.5995 0.9614 0.3643
Sb 0.0028 0.0172 0.6240
Sb 0.0028 0.0172 0.8760
Sb 0.0028 0.4828 0.1240
Sb 0.0028 0.4828 0.3760
Sb 0.2780 0.2500 0.0000
Sb 0.2780 0.2500 0.5000
Sb 0.2832 0.7311 0.2500
Sb 0.2832 0.7689 0.7500
Sb 0.4441 0.1132 0.2500
Sb 0.4441 0.3868 0.7500
Sb 0.4721 0.7500 0.0000
Sb 0.4721 0.7500 0.5000
Sb 0.5279 0.2500 0.0000
Sb 0.5279 0.2500 0.5000
Sb 0.5559 0.6132 0.2500
Sb 0.5559 0.8868 0.7500
Sb 0.7168 0.2311 0.2500
Sb 0.7168 0.2689 0.7500
Sb 0.7220 0.7500 0.0000
Sb 0.7220 0.7500 0.5000
Sb 0.9972 0.5172 0.6240
Sb 0.9972 0.5172 0.8760
Sb 0.9972 0.9828 0.1240
Sb 0.9972 0.9828 0.3760

Main lines, in order of rising 2θ (10 to 80 degrees two-theta):
| two_theta | I_rel |
| --- | --- |
| 28.3 | 31 |
| 30.4 | 21 |
| 32.4 | 65 |
| 32.8 | 46 |
| 35.2 | 100 |
| 36.2 | 28 |
| 36.5 | 38 |
| 41.9 | 78 |
| 51.3 | 22 |
| 56.1 | 34 |

Structure and calculated XRD peak list of Co3SnSb5 (the GGA-PBE geometry in Alexandria; copper Kα).
Lines closer than 0.1° are merged.

Structure:
a b c (Å): 5.7029 3.3145 19.4114
angles (deg): 90.00 90.49 90.00
Fractional coordinates of all 18 atoms:
Co 0.0000 0.0000 0.0000
Co 0.0051 0.0000 0.6646
Co 0.4896 0.5000 0.8351
Co 0.5000 0.5000 0.5000
Co 0.5104 0.5000 0.1649
Co 0.9949 0.0000 0.3354
Sn 0.2022 0.0000 0.2163
Sn 0.7978 0.0000 0.7837
Sb 0.1928 0.0000 0.8813
Sb 0.1987 0.0000 0.5475
Sb 0.2999 0.5000 0.7159
Sb 0.3017 0.5000 0.3803
Sb 0.3036 0.5000 0.0485
Sb 0.6964 0.5000 0.9515
Sb 0.6983 0.5000 0.6197
Sb 0.7001 0.5000 0.2841
Sb 0.8013 0.0000 0.4525
Sb 0.8072 0.0000 0.1187

Main lines, in order of rising 2θ (10 to 80 degrees two-theta):
| two_theta | I_rel |
| --- | --- |
| 31.2 | 63 |
| 31.4 | 27 |
| 31.7 | 76 |
| 31.9 | 75 |
| 34.2 | 100 |
| 34.3 | 82 |
| 44.1 | 39 |
| 44.3 | 40 |
| 50.5 | 66 |
| 55.4 | 28 |

Structure and calculated XRD peak list of Co3Sn5Sb (the GGA-PBE geometry in Alexandria; copper Kα).
Lines closer than 0.1° are merged.

Structure:
a b c (Å): 6.0889 3.5136 18.3652
angles (deg): 90.00 90.57 90.00
Fractional coordinates of all 18 atoms:
Co 0.0000 0.0000 0.0000
Co 0.0063 0.0000 0.6686
Co 0.4913 0.5000 0.8301
Co 0.5000 0.5000 0.5000
Co 0.5087 0.5000 0.1699
Co 0.9937 0.0000 0.3314
Sn 0.2073 0.5000 0.5941
Sn 0.2108 0.5000 0.2634
Sn 0.2136 0.5000 0.9311
Sn 0.2888 0.0000 0.0975
Sn 0.2895 0.0000 0.4281
Sn 0.7105 0.0000 0.5719
Sn 0.7112 0.0000 0.9025
Sn 0.7864 0.5000 0.0689
Sn 0.7892 0.5000 0.7366
Sn 0.7927 0.5000 0.4059
Sb 0.2908 0.0000 0.7631
Sb 0.7092 0.0000 0.2369

Main lines, in order of rising 2θ (10 to 80 degrees two-theta):
| two_theta | I_rel |
| --- | --- |
| 29.2 | 27 |
| 29.3 | 26 |
| 32.8 | 100 |
| 32.9 | 98 |
| 41.6 | 28 |
| 41.8 | 23 |
| 42.1 | 27 |
| 51.8 | 23 |
| 52.0 | 45 |
| 54.2 | 25 |

Structure and calculated XRD peak list of TaCo6Sb (the GGA-PBE geometry in Alexandria; copper Kα).
Lines closer than 0.1° are merged.

Structure:
a b c (Å): 6.3450 6.3450 10.3753
angles (deg): 90.00 90.00 109.59
Fractional coordinates of all 32 atoms:
Ta 0.0000 0.0000 0.2478
Ta 0.0000 0.0000 0.7522
Ta 0.2460 0.7540 0.0000
Ta 0.7540 0.2460 0.0000
Co 0.0000 0.0000 0.0000
Co 0.0000 0.0000 0.5000
Co 0.1221 0.3744 0.1231
Co 0.1221 0.3744 0.8769
Co 0.1242 0.3708 0.3730
Co 0.1242 0.3708 0.6270
Co 0.2471 0.7529 0.2469
Co 0.2471 0.7529 0.7531
Co 0.3708 0.1242 0.3730
Co 0.3708 0.1242 0.6270
Co 0.3744 0.1221 0.1231
Co 0.3744 0.1221 0.8769
Co 0.5000 0.5000 0.0000
Co 0.5000 0.5000 0.5000
Co 0.6256 0.8779 0.1231
Co 0.6256 0.8779 0.8769
Co 0.6292 0.8758 0.3730
Co 0.6292 0.8758 0.6270
Co 0.7529 0.2471 0.2469
Co 0.7529 0.2471 0.7531
Co 0.8758 0.6292 0.3730
Co 0.8758 0.6292 0.6270
Co 0.8779 0.6256 0.1231
Co 0.8779 0.6256 0.8769
Sb 0.2483 0.7517 0.5000
Sb 0.5000 0.5000 0.2482
Sb 0.5000 0.5000 0.7518
Sb 0.7517 0.2483 0.5000

Main lines, in order of rising 2θ (10 to 80 degrees two-theta):
| two_theta | I_rel |
| --- | --- |
| 24.3 | 22 |
| 34.6 | 18 |
| 42.7 | 100 |
| 49.7 | 32 |
| 49.9 | 16 |
| 56.1 | 7 |
| 62.0 | 6 |
| 73.0 | 9 |
| 73.1 | 19 |
| 78.2 | 3 |

Structure and calculated XRD peak list of TaCoSbTe2 (the GGA-PBE geometry in Alexandria; copper Kα).
Lines closer than 0.1° are merged.

Structure:
a b c (Å): 5.3568 5.3568 5.4252
angles (deg): 90.00 90.00 90.00
Fractional coordinates of all 5 atoms:
Ta 0.0000 0.0000 0.0000
Co 0.5000 0.5000 0.5000
Sb 0.0000 0.0000 0.5000
Te 0.0000 0.5000 0.0000
Te 0.5000 0.0000 0.0000

Main lines, in order of rising 2θ (10 to 80 degrees two-theta):
| two_theta | I_rel |
| --- | --- |
| 16.3 | 45 |
| 16.5 | 83 |
| 28.7 | 52 |
| 33.0 | 52 |
| 33.5 | 100 |
| 37.2 | 23 |
| 37.5 | 46 |
| 47.7 | 73 |
| 48.0 | 36 |
| 59.5 | 37 |

Structure and calculated XRD peak list of Tb7Co2Sb2 (the GGA-PBE geometry in Alexandria; copper Kα).
Lines closer than 0.1° are merged.

Structure:
a b c (Å): 9.5835 9.5835 9.5835
angles (deg): 157.72 66.32 118.44
Fractional coordinates of all 11 atoms:
Tb 0.0000 0.0000 0.0000
Tb 0.0568 0.3730 0.6838
Tb 0.0678 0.7201 0.3477
Tb 0.3724 0.7201 0.6523
Tb 0.4372 0.5672 0.8699
Tb 0.6892 0.3730 0.3162
Tb 0.6973 0.5672 0.1301
Co 0.2997 0.0609 0.2388
Co 0.8222 0.0609 0.7612
Sb 0.3233 0.3233 0.0000
Sb 0.7359 0.2359 0.5000

Main lines, in order of rising 2θ (10 to 80 degrees two-theta):
| two_theta | I_rel |
| --- | --- |
| 29.3 | 52 |
| 30.8 | 53 |
| 32.1 | 95 |
| 33.5 | 28 |
| 34.2 | 100 |
| 34.7 | 44 |
| 36.7 | 25 |
| 38.4 | 38 |
| 49.2 | 27 |
| 60.0 | 32 |

Structure and calculated XRD peak list of CoTc2Sb8 (the GGA-PBE geometry in Alexandria; copper Kα).
Lines closer than 0.1° are merged.

Structure:
a b c (Å): 8.1577 8.1577 5.0653
angles (deg): 90.00 90.00 120.00
Fractional coordinates of all 11 atoms:
Co 0.0000 0.0000 0.0000
Tc 0.3333 0.6667 0.2134
Tc 0.6667 0.3333 0.7866
Sb 0.1501 0.3003 0.2856
Sb 0.1501 0.8499 0.2856
Sb 0.3003 0.1501 0.7144
Sb 0.3333 0.6667 0.7256
Sb 0.6667 0.3333 0.2744
Sb 0.6997 0.8499 0.2856
Sb 0.8499 0.1501 0.7144
Sb 0.8499 0.6997 0.7144

Main lines, in order of rising 2θ (10 to 80 degrees two-theta):
| two_theta | I_rel |
| --- | --- |
| 21.8 | 25 |
| 25.2 | 53 |
| 30.9 | 100 |
| 35.4 | 28 |
| 38.1 | 19 |
| 44.0 | 45 |
| 44.4 | 58 |
| 49.6 | 13 |
| 55.1 | 14 |
| 58.1 | 34 |

Structure and calculated XRD peak list of Th4Co2Sb (the GGA-PBE geometry in Alexandria; copper Kα).
Lines closer than 0.1° are merged.

Structure:
a b c (Å): 7.8779 7.8779 7.8779
angles (deg): 106.48 106.48 115.63
Fractional coordinates of all 14 atoms:
Th 0.0270 0.4095 0.2557
Th 0.1538 0.7713 0.7443
Th 0.1595 0.2770 0.7557
Th 0.2287 0.9730 0.3826
Th 0.5213 0.4038 0.2443
Th 0.5905 0.8462 0.6174
Th 0.5962 0.8405 0.1174
Th 0.7230 0.4787 0.8826
Co 0.2762 0.6250 0.1512
Co 0.3750 0.5262 0.6512
Co 0.4738 0.1250 0.8488
Co 0.8750 0.7238 0.3488
Sb 0.0000 0.0000 0.0000
Sb 0.7500 0.2500 0.5000

Main lines, in order of rising 2θ (10 to 80 degrees two-theta):
| two_theta | I_rel |
| --- | --- |
| 28.5 | 80 |
| 30.0 | 89 |
| 30.4 | 100 |
| 33.4 | 72 |
| 36.0 | 98 |
| 37.0 | 55 |
| 47.6 | 32 |
| 49.5 | 32 |
| 51.6 | 27 |
| 53.4 | 47 |